The following is a calculated powder XRD pattern of CaEuNiBiO6. It was derived from a structure optimized by DFT (GGA+U), using Cu Kα (weighted mean of Kα1 and Kα2).
No peak broadening, texture or thermal motion is included.

Atomic structure:
```
data_CaEuNiBiO6
_cell_length_a 8.0987
_cell_length_b 8.0987
_cell_length_c 8.0987
_cell_angle_alpha 90.00
_cell_angle_beta 90.00
_cell_angle_gamma 90.00
_space_group_name_H-M_alt 'F -4 3 m'
_space_group_IT_number 216
_space_group_name_Hall 'F -4 2 3'
loop_
_atom_site_label
_atom_site_type_symbol
_atom_site_fract_x
_atom_site_fract_y
_atom_site_fract_z
Ca1 Ca 0.0000 0.0000 0.0000
Eu1 Eu 0.0000 0.0000 0.5000
Ni1 Ni 0.2500 0.2500 0.7500
Bi1 Bi 0.2500 0.2500 0.2500
O1 O 0.0062 0.2500 0.7500
```

Largest 10 diffraction maxima, low angle first, 2θ = 10–90°:
hkl 1 1 1, 19.0 deg, I 35; hkl 2 0 0, 21.9 deg, I 8; hkl 2 2 0, 31.2 deg, I 100; hkl 3 1 1, 36.8 deg, I 23; hkl 4 0 0, 44.8 deg, I 31; hkl 3 3 1, 49.0 deg, I 11; hkl 4 2 2, 55.6 deg, I 40; hkl 4 4 0, 65.2 deg, I 19; hkl 5 3 1, 68.5 deg, I 8; hkl 6 2 0, 74.0 deg, I 17